Simulated PXRD pattern of RbPu2VO8 for Cu Kα (λ = 1.5418 Å), from a cell relaxed with PBE+U.
Peak positions follow from Bragg's law for the DFT cell and can differ from measured ones.

Top 8 peaks for 2θ = 15–90°, in order of rising 2θ:
2θ 20.8, I = 100, (0 1 1)
2θ 29.4, I = 29, (1 0 2)
2θ 29.7, I = 44, (1 1 0)
2θ 36.5, I = 16, (2 0 1)
2θ 40.1, I = 17, (1 0 3)
2θ 47.7, I = 25, (1 2 1)
2θ 52.5, I = 13, (2 1 2)
2θ 58.1, I = 15, (1 1 4)

Cell and atoms:
a = 6.0259 Å, b = 6.0259 Å, c = 7.4710 Å
α = 90.00°, β = 90.00°, γ = 120.00°
Space group P-3m1 (No. 164)
One atom of each set of equivalent atoms:
Rb 0.0000 0.0000 0.0000 [1 per cell]
Pu 0.3333 0.6667 0.2544 [2 per cell]
V 0.0000 0.0000 0.5000 [1 per cell]
O 0.1484 0.2968 0.3516 [6 per cell]
O 0.3333 0.6667 0.0019 [2 per cell]